Theoretical powder XRD pattern of NaHf2HgN for Cu Kα (λ = 1.5418 Å), from a cell relaxed with GGA-PBE.
Peak positions follow from Bragg's law for the DFT cell and can differ from measured ones.

Cell and atoms:
abc: 4.2923 4.2923 5.7471
angles: 90.00 90.00 90.00
Space group P4/mmm (No. 123)
One atom of each set of equivalent atoms:
Na 0.0000 0.0000 0.0000
Hf 0.0000 0.5000 0.5000
Hg 0.5000 0.5000 0.0000
N 0.5000 0.5000 0.5000

Principal peaks in the range 5 to 70 degrees two-theta, low angle first:
hkl, Position (°2θ), Rel. int.
0 0 1, 15.4, 10.7
1 0 0, 20.7, 18.5
1 0 1, 25.9, 15.4
0 0 2, 31.1, 33.1
1 1 1, 33.4, 100.0
1 0 2, 37.7, 8.2
2 0 0, 42.1, 29.1
2 1 1, 50.1, 5.7
2 0 2, 53.3, 29.3
1 1 3, 56.8, 22.4
2 1 2, 57.8, 4.8
2 2 0, 61.1, 9.7


Theoretical powder XRD pattern of Cs5TlI5 for Cu Kα (λ = 1.5418 Å), from a cell relaxed with GGA-PBE.
Peak positions follow from Bragg's law for the DFT cell and can differ from measured ones.

Cell and atoms:
abc: 17.2924 7.7237 10.8854
angles: 90.00 108.77 90.00
Space group C2/m (No. 12)
One atom of each set of equivalent atoms:
Cs 0.0000 0.0000 0.0000
Cs 0.1632 0.5000 0.3318
Cs 0.1710 0.5000 0.8286
Tl 0.0000 0.0000 0.5000
I 0.0000 0.5000 0.5000
I 0.1572 0.0000 0.3427
I 0.1608 0.0000 0.8197

Principal peaks in the range 5 to 70 degrees two-theta, low angle first:
hkl, Position (°2θ), Rel. int.
0 0 1, 8.6, 10.7
0 2 0, 23.0, 100.0
2 0 2, 23.2, 49.3
4 2 -2, 32.8, 59.4
2 2 2, 32.9, 59.4
6 2 0, 40.5, 43.6
0 4 0, 47.0, 14.0
8 2 -4, 52.9, 14.4
2 4 2, 53.1, 24.7
4 2 4, 53.3, 14.4
6 4 0, 58.5, 14.2
2 4 -4, 58.6, 14.1


Theoretical powder XRD pattern of Mn2CoSbW for Cu Kα (λ = 1.5418 Å), from a cell relaxed with GGA-PBE.
Peak positions follow from Bragg's law for the DFT cell and can differ from measured ones.

Cell and atoms:
abc: 4.6571 4.6571 4.5274
angles: 90.00 90.00 90.00
Space group P4/mmm (No. 123)
One atom of each set of equivalent atoms:
Mn 0.0000 0.5000 0.0000
Co 0.0000 0.0000 0.5000
Sb 0.5000 0.5000 0.5000
W 0.0000 0.0000 0.0000

Principal peaks in the range 5 to 70 degrees two-theta, low angle first:
hkl, Position (°2θ), Rel. int.
1 0 0, 19.1, 31.5
0 0 1, 19.6, 12.2
1 1 0, 27.1, 57.1
1 0 1, 27.5, 100.0
1 1 1, 33.7, 13.9
2 0 0, 38.7, 80.2
0 0 2, 39.8, 36.9
2 1 1, 48.1, 44.4
1 1 2, 48.8, 23.5
2 2 0, 55.8, 26.7
2 0 2, 56.7, 50.8
3 1 0, 63.1, 11.0


Theoretical powder XRD pattern of ScP2Se6 for Cu Kα (λ = 1.5418 Å), from a cell relaxed with GGA-PBE.
Peak positions follow from Bragg's law for the DFT cell and can differ from measured ones.

Cell and atoms:
abc: 6.4758 6.4758 22.1485
angles: 90.00 90.00 120.00
Space group R3 (No. 146, hexagonal axes)
One atom of each set of equivalent atoms:
Sc 0.0000 0.0000 0.0000
P 0.0000 0.0000 0.2818
P 0.0000 0.0000 0.3846
Se 0.0062 0.3611 0.7471
Se 0.0068 0.6444 0.5861

Principal peaks in the range 5 to 70 degrees two-theta, low angle first:
hkl, Position (°2θ), Rel. int.
0 0 3, 12.0, 11.3
1 0 1, 16.3, 11.4
0 1 2, 17.7, 5.9
0 0 6, 24.1, 36.5
1 1 0, 27.5, 5.9
2 -1 3, 30.1, 100.0
2 -1 6, 36.9, 23.0
1 1 9, 46.3, 28.3
3 0 0, 48.7, 22.7
3 0 6, 55.1, 18.5
2 2 3, 58.4, 12.7
4 -2 9, 69.5, 7.2


Theoretical powder XRD pattern of BaAg3Cl6 for Cu Kα (λ = 1.5418 Å), from a cell relaxed with GGA-PBE.
Peak positions follow from Bragg's law for the DFT cell and can differ from measured ones.

Cell and atoms:
abc: 9.2693 13.4588 4.6100
angles: 90.00 90.00 90.00
Space group Cmmm (No. 65)
One atom of each set of equivalent atoms:
Ba 0.0000 0.0000 0.0000
Ag 0.0000 0.5000 0.0000
Ag 0.2500 0.2500 0.5000
Cl 0.0000 0.1569 0.5000
Cl 0.1949 0.3726 0.0000

Principal peaks in the range 5 to 70 degrees two-theta, low angle first:
hkl, Position (°2θ), Rel. int.
0 2 1, 23.4, 100.0
0 4 0, 26.5, 6.0
2 0 1, 27.3, 12.1
2 4 1, 38.4, 47.9
4 0 0, 38.9, 9.4
0 0 2, 39.1, 13.4
2 6 0, 44.9, 17.3
4 2 1, 45.9, 17.8
2 2 2, 46.0, 14.3
4 0 2, 56.3, 6.5
4 6 1, 60.9, 5.1
2 6 2, 61.0, 8.1


Theoretical powder XRD pattern of Er2Tm2Ge3 for Cu Kα (λ = 1.5418 Å), from a cell relaxed with GGA-PBE.
Peak positions follow from Bragg's law for the DFT cell and can differ from measured ones.

Cell and atoms:
abc: 10.3613 4.5624 7.9882
angles: 90.00 103.33 90.00
Space group C2/m (No. 12)
One atom of each set of equivalent atoms:
Er 0.1371 0.0000 0.4102
Tm 0.1294 0.5000 0.8526
Ge 0.0000 0.5000 0.5000
Ge 0.2086 0.5000 0.2183

Principal peaks in the range 5 to 70 degrees two-theta, low angle first:
hkl, Position (°2θ), Rel. int.
0 0 1, 11.4, 12.2
1 1 1, 25.2, 49.3
2 0 -2, 25.5, 20.8
2 0 2, 32.2, 41.1
3 1 -1, 33.0, 100.0
4 0 0, 35.6, 13.1
1 1 -3, 39.2, 51.6
0 2 0, 39.5, 31.8
2 2 2, 51.8, 21.5
5 1 1, 53.5, 22.3
6 0 -2, 54.2, 17.4
3 3 -1, 67.5, 22.1


Theoretical powder XRD pattern of Tb6AlHg2 for Cu Kα (λ = 1.5418 Å), from a cell relaxed with GGA-PBE.
Peak positions follow from Bragg's law for the DFT cell and can differ from measured ones.

Cell and atoms:
abc: 5.1362 12.6766 15.4269
angles: 90.00 90.00 90.00
Space group Fmmm (No. 69)
One atom of each set of equivalent atoms:
Tb 0.0000 0.1505 0.1660
Tb 0.0000 0.1549 0.5000
Al 0.0000 0.0000 0.0000
Hg 0.0000 0.0000 0.3386

Principal peaks in the range 5 to 70 degrees two-theta, low angle first:
hkl, Position (°2θ), Rel. int.
0 0 2, 11.5, 3.1
0 2 2, 18.1, 3.1
1 1 1, 19.5, 5.8
1 3 3, 32.5, 100.0
2 0 0, 34.9, 43.5
0 6 0, 42.8, 10.0
1 5 3, 43.5, 3.5
2 0 6, 50.2, 15.6
2 6 0, 56.4, 17.8
3 3 3, 61.1, 32.7
2 6 6, 68.1, 10.1
2 8 0, 69.7, 2.8


Theoretical powder XRD pattern of PmCuNi4 for Cu Kα (λ = 1.5418 Å), from a cell relaxed with GGA-PBE.
Peak positions follow from Bragg's law for the DFT cell and can differ from measured ones.

Cell and atoms:
abc: 6.8097 3.8830 6.5217
angles: 90.00 90.00 90.00
Space group Pmma (No. 51)
One atom of each set of equivalent atoms:
Pm 0.2500 0.0000 0.1467
Cu 0.2500 0.0000 0.7332
Ni 0.0000 0.0000 0.5000
Ni 0.0515 0.5000 0.7958
Ni 0.2500 0.5000 0.4787

Principal peaks in the range 5 to 70 degrees two-theta, low angle first:
hkl, Position (°2θ), Rel. int.
1 1 1, 29.8, 18.9
1 0 2, 30.4, 19.4
2 1 0, 35.1, 35.7
2 1 1, 37.8, 93.6
1 1 2, 38.4, 59.0
0 0 3, 41.5, 35.3
3 0 1, 42.2, 15.1
1 0 3, 43.7, 15.7
2 1 2, 45.0, 100.0
0 2 0, 46.8, 48.8
4 0 0, 53.9, 20.3
0 2 3, 64.3, 18.3


Theoretical powder XRD pattern of Ba2Sr3Ca5 for Cu Kα (λ = 1.5418 Å), from a cell relaxed with GGA-PBE.
Peak positions follow from Bragg's law for the DFT cell and can differ from measured ones.

Cell and atoms:
abc: 17.0081 11.3579 12.9951
angles: 90.00 126.76 90.00
Space group C2/c (No. 15)
One atom of each set of equivalent atoms:
Ba 0.1642 0.2445 0.0800
Sr 0.0000 0.2446 0.2500
Sr 0.0867 0.0678 0.6937
Ca 0.0000 0.4115 0.7500
Ca 0.1234 0.4064 0.5882
Ca 0.2400 0.0887 0.5595

Principal peaks in the range 5 to 70 degrees two-theta, low angle first:
hkl, Position (°2θ), Rel. int.
1 1 1, 15.6, 17.4
3 1 -3, 22.4, 29.4
4 2 -2, 26.2, 29.6
1 3 1, 27.1, 100.0
5 1 -2, 27.5, 12.4
4 2 -3, 28.1, 14.9
3 1 -4, 28.6, 12.5
5 1 -1, 29.6, 18.9
2 2 -4, 32.6, 14.5
6 2 0, 42.9, 8.7
3 3 3, 47.9, 12.6
5 5 -1, 49.5, 8.9


Theoretical powder XRD pattern of Pu2GePPd6 for Cu Kα (λ = 1.5418 Å), from a cell relaxed with GGA-PBE.
Peak positions follow from Bragg's law for the DFT cell and can differ from measured ones.

Cell and atoms:
abc: 5.5538 8.6551 8.1174
angles: 90.00 90.00 90.00
Space group Pmmn (No. 59, origin choice 2)
One atom of each set of equivalent atoms:
Pu 0.2500 0.0088 0.2324
Ge 0.2500 0.7500 0.7730
P 0.2500 0.2500 0.7429
Pd 0.9997 0.2500 0.4953
Pd 0.0022 0.2500 0.9773
Pd 0.2500 0.0019 0.6198

Principal peaks in the range 5 to 70 degrees two-theta, low angle first:
hkl, Position (°2θ), Rel. int.
1 0 1, 19.4, 20.0
1 0 2, 27.2, 20.4
1 2 1, 28.4, 70.6
0 2 2, 30.2, 100.0
1 2 2, 34.3, 28.2
1 0 3, 37.0, 26.6
2 2 0, 38.5, 92.0
2 0 2, 39.3, 80.2
0 4 0, 41.7, 54.9
1 2 3, 42.6, 67.5
2 4 2, 58.7, 48.5
3 2 3, 64.7, 20.2


Theoretical powder XRD pattern of CaLa3C8 for Cu Kα (λ = 1.5418 Å), from a cell relaxed with GGA-PBE.
Peak positions follow from Bragg's law for the DFT cell and can differ from measured ones.

Cell and atoms:
abc: 9.6356 10.6929 8.2182
angles: 90.00 90.00 90.00
Space group Fmm2 (No. 42)
One atom of each set of equivalent atoms:
Ca 0.0000 0.0000 0.0000
La 0.0000 0.0000 0.4852
La 0.2500 0.2500 0.2915
C 0.0000 0.1712 0.2040
C 0.0000 0.2468 0.0817
C 0.1630 0.0000 0.7444
C 0.2493 0.0000 0.8631

Principal peaks in the range 5 to 70 degrees two-theta, low angle first:
hkl, Position (°2θ), Rel. int.
1 1 1, 16.4, 28.8
0 0 2, 21.6, 15.3
2 2 0, 24.9, 100.0
0 2 2, 27.4, 83.0
2 0 2, 28.6, 99.7
2 2 2, 33.2, 19.5
0 4 0, 33.5, 41.3
4 0 0, 37.3, 30.0
2 4 2, 44.6, 61.4
4 2 2, 46.9, 44.8
4 4 0, 51.0, 21.2
2 2 4, 51.3, 25.4


Theoretical powder XRD pattern of Tl5In6Hg2 for Cu Kα (λ = 1.5418 Å), from a cell relaxed with GGA-PBE.
Peak positions follow from Bragg's law for the DFT cell and can differ from measured ones.

Cell and atoms:
abc: 6.3060 8.4056 8.5615
angles: 61.00 69.50 79.20
Space group P-1 (No. 2)
One atom of each set of equivalent atoms:
Tl 0.0000 0.0000 0.0000
Tl 0.2318 0.4372 0.6269
Tl 0.3646 0.7779 0.6891
In 0.0747 0.1687 0.5118
In 0.3254 0.6169 0.1523
In 0.4346 0.9442 0.2219
Hg 0.1622 0.3268 0.0707

Principal peaks in the range 5 to 70 degrees two-theta, low angle first:
hkl, Position (°2θ), Rel. int.
1 2 3, 32.3, 53.1
1 -1 2, 32.6, 49.2
0 3 1, 32.8, 48.8
1 0 -2, 33.0, 100.0
2 2 1, 33.7, 47.0
-1 3 3, 46.4, 19.0
3 1 3, 47.2, 17.6
1 3 -1, 48.0, 16.6
0 2 5, 57.6, 10.8
2 1 5, 57.7, 10.2
1 5 4, 58.0, 9.2
0 1 -4, 58.5, 9.3


Theoretical powder XRD pattern of Th3FeBi for Cu Kα (λ = 1.5418 Å), from a cell relaxed with GGA-PBE.
Peak positions follow from Bragg's law for the DFT cell and can differ from measured ones.

Cell and atoms:
abc: 8.7701 4.3557 15.0354
angles: 90.00 90.00 90.00
Space group Pnma (No. 62)
One atom of each set of equivalent atoms:
Th 0.0290 0.2500 0.1000
Th 0.1597 0.2500 0.5024
Th 0.2056 0.7500 0.2907
Fe 0.1732 0.2500 0.9387
Bi 0.0824 0.7500 0.6758

Principal peaks in the range 5 to 70 degrees two-theta, low angle first:
hkl, Position (°2θ), Rel. int.
0 1 3, 27.1, 17.7
1 1 3, 29.0, 74.6
2 1 1, 29.5, 66.7
3 0 1, 31.2, 22.0
2 1 2, 31.3, 100.0
1 0 5, 31.4, 47.8
3 0 2, 32.9, 18.6
1 1 4, 33.1, 15.1
0 2 0, 41.5, 36.0
1 1 7, 48.4, 20.6
1 2 5, 52.9, 35.2
5 1 1, 56.9, 12.2